[1]
Diffraction record for Ga3Ni20B6. The X-ray powder pattern is simulated, not measured: it uses a crystal structure in the Materials Project, relaxed with GGA-PBE and Cu Kα.
Neutral-atom scattering factors, no anomalous dispersion.

Cell and atoms:
abc: 10.499 10.499 10.499
angles: 90.00 90.00 90.00
Space group Fm-3m (No. 225)
Symmetry-distinct sites (fractional):
Ga: 0.000 0.000 0.000 x4
Ga: 0.250 0.250 0.250 x8
Ni: 0.000 0.169 0.169 x48
Ni: 0.118 0.118 0.382 x32
B: 0.000 0.000 0.276 x24

Principal peaks in the range 2θ from 10° to 90°, in order of rising 2θ:
d/Å  Rel. int.
2.348  25
2.143  32
2.020  100
1.856  22
1.775  24
1.750  12
1.237  23
1.212  13

---

[2]
Diffraction record for CdH2O2. The X-ray powder pattern is simulated, not measured: it uses a crystal structure in the Materials Project, relaxed with GGA-PBE and Cu Kα.
Neutral-atom scattering factors, no anomalous dispersion.

Cell and atoms:
abc: 6.238 3.538 4.805
angles: 90.00 95.12 90.00
Space group C2 (No. 5)
Symmetry-distinct sites (fractional):
Cd: 0.000 0.000 0.000 x2
H: 0.208 0.404 0.430 x4
O: 0.193 0.495 0.236 x4

Principal peaks in the range 2θ from 10° to 90°, in order of rising 2θ:
d/Å  Rel. int.
4.786  100
3.106  19
3.075  53
2.719  35
2.640  23
2.536  64
1.930  19
1.787  20

---

[3]
Diffraction record for Rb2NaPrBr6. The X-ray powder pattern is simulated, not measured: it uses a crystal structure in the Materials Project, relaxed with GGA-PBE and Cu Kα.
Neutral-atom scattering factors, no anomalous dispersion.

Cell and atoms:
abc: 11.619 11.619 11.619
angles: 90.00 90.00 90.00
Space group Fm-3m (No. 225)
Symmetry-distinct sites (fractional):
Rb: 0.250 0.250 0.250 x8
Na: 0.000 0.000 0.000 x4
Pr: 0.000 0.000 0.500 x4
Br: 0.000 0.000 0.251 x24

Principal peaks in the range 2θ from 10° to 90°, in order of rising 2θ:
d/Å  Rel. int.
4.108  21
3.354  71
2.905  100
2.054  73
1.752  31
1.677  25
1.299  32
1.186  24

---

[4]
Diffraction record for CeP2Pd2. The X-ray powder pattern is simulated, not measured: it uses a crystal structure in the Materials Project, relaxed with GGA-PBE and Cu Kα.
Neutral-atom scattering factors, no anomalous dispersion.

Cell and atoms:
abc: 4.125 4.125 10.080
angles: 90.00 90.00 90.00
Space group I4/mmm (No. 139)
Symmetry-distinct sites (fractional):
Ce: 0.000 0.000 0.000 x2
P: 0.000 0.000 0.389 x4
Pd: 0.000 0.500 0.250 x4

Principal peaks in the range 2θ from 10° to 90°, in order of rising 2θ:
d/Å  Rel. int.
3.817  15
2.605  20
2.524  100
2.062  30
1.812  13
1.596  14
1.456  12
1.263  25

---

[5]
Diffraction record for Rb2PtF6. The X-ray powder pattern is simulated, not measured: it uses a crystal structure in the Materials Project, relaxed with GGA-PBE and Cu Kα.
Neutral-atom scattering factors, no anomalous dispersion.

Cell and atoms:
abc: 6.0891 6.0891 4.9528
angles: 90.00 90.00 120.00
Space group P-3m1 (No. 164)
Symmetry-distinct sites (fractional):
Rb: 0.3333 0.6667 0.2876 x2
Pt: 0.0000 0.0000 0.0000 x1
F: 0.1575 0.3151 0.7826 x6

Principal peaks in the range 2θ from 10° to 90°, in order of rising 2θ:
d/Å  Rel. int.
5.273  35
3.610  100
3.045  56
2.327  50
2.242  30
1.849  29
1.805  24
1.553  22

---

[6]
Diffraction record for TiSO6. The X-ray powder pattern is simulated, not measured: it uses a crystal structure in the Materials Project, relaxed with GGA-PBE and Cu Kα.
Neutral-atom scattering factors, no anomalous dispersion.

Cell and atoms:
abc: 9.979 5.271 8.820
angles: 90.00 90.00 90.00
Space group Pnma (No. 62)
Symmetry-distinct sites (fractional):
Ti: 0.125 0.250 0.042 x4
S: 0.171 0.250 0.667 x4
O: 0.000 0.000 0.000 x4
O: 0.027 0.250 0.642 x4
O: 0.083 0.250 0.253 x4
O: 0.207 0.250 0.831 x4
O: 0.234 0.021 0.598 x8

Principal peaks in the range 2θ from 10° to 90°, in order of rising 2θ:
d/Å  Rel. int.
6.609  35
4.524  16
4.034  48
3.623  100
3.352  11
3.203  24
2.820  20
2.635  12